(1)
The following is a theoretical powder diffractogram of Cr2HgMo. It was derived from the PBE geometry in Alexandria, using Cu Kα, 1.54184 Å.
Neutral-atom scattering factors, no anomalous dispersion.

Main lines, in order of rising 2θ (2θ = 15–90°):
| 2θ (°) | Rel. int. |
| --- | --- |
| 20.17 | 11 |
| 30.45 | 20 |
| 36.74 | 27 |
| 40.61 | 23 |
| 40.95 | 100 |
| 51.59 | 9 |
| 59.07 | 11 |
| 64.31 | 13 |
| 74.12 | 14 |
| 74.59 | 14 |

Cell and atoms:
Lattice parameters (Å, degrees): 2.711 2.711 8.806 90.00 90.00 110.08
Element x y z (fractional)
Cr: 0.000 0.000 0.000
Cr: 0.500 0.500 0.198
Hg: 0.000 0.000 0.473
Mo: 0.500 0.500 0.767

***

(2)
The following is a theoretical powder diffractogram of LiBi3O6. It was derived from the PBE geometry in Alexandria, using Cu Kα, 1.54184 Å.
Neutral-atom scattering factors, no anomalous dispersion.

Main lines, in order of rising 2θ (2θ = 15–90°):
| 2θ (°) | Rel. int. |
| --- | --- |
| 16.41 | 28 |
| 20.14 | 21 |
| 23.29 | 33 |
| 28.63 | 100 |
| 33.18 | 34 |
| 35.26 | 14 |
| 37.23 | 19 |
| 42.69 | 19 |
| 47.63 | 34 |
| 56.52 | 26 |

Cell and atoms:
Lattice parameters (Å, degrees): 9.354 9.354 9.354 109.47 109.47 109.47
Element x y z (fractional)
Li: 0.000 0.968 0.500
Li: 0.500 0.000 0.968
Li: 0.532 0.532 0.532
Li: 0.968 0.500 0.000
Bi: 0.037 0.750 0.787
Bi: 0.214 0.964 0.250
Bi: 0.250 0.214 0.964
Bi: 0.250 0.713 0.463
Bi: 0.286 0.536 0.750
Bi: 0.463 0.250 0.713
Bi: 0.536 0.750 0.286
Bi: 0.713 0.463 0.250
Bi: 0.750 0.286 0.536
Bi: 0.750 0.787 0.037
Bi: 0.787 0.037 0.750
Bi: 0.964 0.250 0.214
O: 0.005 0.967 0.725
O: 0.027 0.058 0.260
O: 0.030 0.473 0.733
O: 0.058 0.260 0.027
O: 0.203 0.442 0.470
O: 0.220 0.962 0.495
O: 0.240 0.297 0.767
O: 0.260 0.027 0.058
O: 0.280 0.775 0.742
O: 0.297 0.767 0.240
O: 0.442 0.470 0.203
O: 0.470 0.203 0.442
O: 0.473 0.733 0.030
O: 0.495 0.220 0.962
O: 0.533 0.538 0.758
O: 0.538 0.758 0.533
O: 0.725 0.005 0.967
O: 0.733 0.030 0.473
O: 0.742 0.280 0.775
O: 0.758 0.533 0.538
O: 0.767 0.240 0.297
O: 0.775 0.742 0.280
O: 0.962 0.495 0.220
O: 0.967 0.725 0.005

***

(3)
The following is a theoretical powder diffractogram of CeGa3Rh2. It was derived from the PBE geometry in Alexandria, using Cu Kα, 1.54184 Å.
Neutral-atom scattering factors, no anomalous dispersion.

Main lines, in order of rising 2θ (2θ = 15–90°):
| 2θ (°) | Rel. int. |
| --- | --- |
| 33.31 | 35 |
| 34.70 | 100 |
| 36.97 | 50 |
| 38.55 | 18 |
| 38.72 | 35 |
| 43.47 | 54 |
| 44.86 | 21 |
| 47.53 | 18 |
| 49.25 | 19 |
| 60.35 | 21 |

Cell and atoms:
Lattice parameters (Å, degrees): 6.169 6.169 5.695 90.00 90.00 81.57
Element x y z (fractional)
Ce: 0.139 0.861 0.750
Ce: 0.861 0.139 0.250
Ga: 0.058 0.611 0.250
Ga: 0.389 0.942 0.250
Ga: 0.485 0.515 0.250
Ga: 0.515 0.485 0.750
Ga: 0.611 0.058 0.750
Ga: 0.942 0.389 0.750
Rh: 0.275 0.275 0.000
Rh: 0.275 0.275 0.500
Rh: 0.725 0.725 0.000
Rh: 0.725 0.725 0.500

***

(4)
The following is a theoretical powder diffractogram of Sn5BiSe7. It was derived from the PBE geometry in Alexandria, using Cu Kα, 1.54184 Å.
Neutral-atom scattering factors, no anomalous dispersion.

Main lines, in order of rising 2θ (2θ = 15–90°):
| 2θ (°) | Rel. int. |
| --- | --- |
| 24.78 | 61 |
| 27.95 | 48 |
| 29.67 | 72 |
| 30.74 | 100 |
| 39.44 | 42 |
| 41.47 | 38 |
| 42.57 | 29 |
| 42.73 | 25 |
| 43.62 | 44 |
| 50.82 | 25 |

Cell and atoms:
Lattice parameters (Å, degrees): 7.301 7.301 25.113 90.00 90.00 146.97
Element x y z (fractional)
Sn: 0.000 0.000 0.000
Sn: 0.000 0.000 0.500
Sn: 0.268 0.732 0.576
Sn: 0.268 0.732 0.924
Sn: 0.466 0.534 0.150
Sn: 0.466 0.534 0.350
Sn: 0.534 0.466 0.650
Sn: 0.534 0.466 0.850
Sn: 0.732 0.268 0.076
Sn: 0.732 0.268 0.424
Bi: 0.217 0.783 0.250
Bi: 0.783 0.217 0.750
Se: 0.093 0.907 0.108
Se: 0.093 0.907 0.392
Se: 0.182 0.818 0.679
Se: 0.182 0.818 0.821
Se: 0.366 0.634 0.038
Se: 0.366 0.634 0.462
Se: 0.431 0.569 0.750
Se: 0.569 0.431 0.250
Se: 0.634 0.366 0.538
Se: 0.634 0.366 0.962
Se: 0.818 0.182 0.179
Se: 0.818 0.182 0.321
Se: 0.907 0.093 0.608
Se: 0.907 0.093 0.892

***

(5)
The following is a theoretical powder diffractogram of TbTiB4. It was derived from the PBE geometry in Alexandria, using Cu Kα, 1.54184 Å.
Neutral-atom scattering factors, no anomalous dispersion.

Main lines, in order of rising 2θ (2θ = 15–90°):
| 2θ (°) | Rel. int. |
| --- | --- |
| 21.02 | 31 |
| 24.85 | 63 |
| 27.06 | 34 |
| 30.38 | 80 |
| 32.77 | 27 |
| 37.07 | 38 |
| 39.64 | 100 |
| 42.45 | 23 |
| 55.68 | 21 |
| 60.51 | 23 |

Cell and atoms:
Lattice parameters (Å, degrees): 6.078 11.765 3.583 90.00 90.00 90.00
Element x y z (fractional)
Tb: 0.126 0.152 0.000
Tb: 0.374 0.652 0.000
Tb: 0.626 0.348 0.000
Tb: 0.874 0.848 0.000
Ti: 0.131 0.414 0.000
Ti: 0.369 0.914 0.000
Ti: 0.631 0.086 0.000
Ti: 0.869 0.586 0.000
B: 0.021 0.693 0.500
B: 0.114 0.547 0.500
B: 0.133 0.968 0.500
B: 0.207 0.814 0.500
B: 0.293 0.314 0.500
B: 0.367 0.468 0.500
B: 0.386 0.047 0.500
B: 0.479 0.193 0.500
B: 0.521 0.807 0.500
B: 0.614 0.953 0.500
B: 0.633 0.532 0.500
B: 0.707 0.686 0.500
B: 0.793 0.186 0.500
B: 0.867 0.032 0.500
B: 0.886 0.453 0.500
B: 0.979 0.307 0.500

***

(6)
The following is a theoretical powder diffractogram of CoIrW. It was derived from the PBE geometry in Alexandria, using Cu Kα, 1.54184 Å.
Neutral-atom scattering factors, no anomalous dispersion.

Main lines, in order of rising 2θ (2θ = 15–90°):
| 2θ (°) | Rel. int. |
| --- | --- |
| 15.96 | 14 |
| 33.92 | 16 |
| 41.17 | 100 |
| 47.24 | 34 |
| 49.23 | 15 |
| 69.04 | 11 |
| 70.61 | 20 |
| 83.66 | 26 |
| 86.62 | 11 |
| 89.38 | 11 |

Cell and atoms:
Lattice parameters (Å, degrees): 5.877 5.877 5.877 153.23 153.23 38.22
Element x y z (fractional)
Co: 0.000 0.000 0.000
Ir: 0.663 0.663 0.000
W: 0.340 0.340 0.000

***

(7)
The following is a theoretical powder diffractogram of CeThPtSe. It was derived from the PBE geometry in Alexandria, using Cu Kα, 1.54184 Å.
Neutral-atom scattering factors, no anomalous dispersion.

Main lines, in order of rising 2θ (2θ = 15–90°):
| 2θ (°) | Rel. int. |
| --- | --- |
| 25.91 | 23 |
| 26.79 | 47 |
| 32.30 | 100 |
| 37.72 | 65 |
| 45.15 | 57 |
| 47.54 | 27 |
| 56.60 | 21 |
| 60.25 | 17 |
| 67.67 | 37 |
| 75.19 | 18 |

Cell and atoms:
Lattice parameters (Å, degrees): 7.989 7.989 7.989 29.12 29.12 29.12
Element x y z (fractional)
Ce: 0.000 0.000 0.000
Th: 0.837 0.837 0.837
Pt: 0.249 0.249 0.249
Se: 0.418 0.418 0.418

***

(8)
The following is a theoretical powder diffractogram of ScBeCr. It was derived from the PBE geometry in Alexandria, using Cu Kα, 1.54184 Å.
Neutral-atom scattering factors, no anomalous dispersion.

Main lines, in order of rising 2θ (2θ = 15–90°):
| 2θ (°) | Rel. int. |
| --- | --- |
| 20.52 | 58 |
| 30.19 | 56 |
| 31.65 | 33 |
| 35.33 | 53 |
| 37.25 | 46 |
| 38.78 | 100 |
| 40.83 | 58 |
| 42.49 | 36 |
| 44.68 | 38 |
| 50.70 | 25 |

Cell and atoms:
Lattice parameters (Å, degrees): 5.390 5.390 6.434 121.30 121.30 33.98
Element x y z (fractional)
Sc: 0.000 0.000 0.000
Sc: 0.160 0.160 0.595
Be: 0.417 0.417 0.261
Be: 0.454 0.454 0.626
Cr: 0.723 0.723 0.999
Cr: 0.774 0.774 0.338